Starting from a structure optimized by DFT (GGA+U), the powder XRD pattern of Li4CoGeO6 was computed for Cu Ka.
Neutral-atom scattering factors, no anomalous dispersion.

The 10 most intense peaks (10 to 80 degrees two-theta), by angle:
2θ/deg  d (Å)  I_rel
18.73  4.738  1000
20.63  4.306  217
21.55  4.124  365
24.06  3.698  264
28.00  3.187  176
36.69  2.450  276
44.24  2.047  320
44.52  2.035  630
64.33  1.448  173
64.80  1.439  171

Unit cell a=4.976 b=4.976 c=5.032 alpha=99.70 beta=99.70 gamma=119.84
Element x y z (fractional)
Li (0.000, 0.000, 0.000)
Li (0.344, 0.656, 0.000)
Li (0.681, 0.319, 0.000)
Li (0.842, 0.158, 0.500)
Co (0.510, 0.490, 0.500)
Ge (0.175, 0.825, 0.500)
O (0.117, 0.441, 0.269)
O (0.271, 0.229, 0.729)
O (0.405, 0.075, 0.273)
O (0.559, 0.883, 0.731)
O (0.771, 0.729, 0.271)
O (0.925, 0.595, 0.727)